1.
Diffraction record for Rb3ReF. The powder X-ray diffraction pattern is theoretical, not measured: it uses a cell relaxed with PBE and λ = 1.5418 Å (Cu Kα).

The 10 most intense peaks (2θ from 15° to 90°), in order of rising 2θ:
22.30 deg, d 3.987, I 18.7; 27.40 deg, d 3.255, I 100.0; 31.74 deg, d 2.819, I 61.5; 39.13 deg, d 2.302, I 8.9; 45.50 deg, d 1.993, I 44.5; 53.93 deg, d 1.700, I 45.7; 56.54 deg, d 1.628, I 15.4; 73.16 deg, d 1.294, I 18.8; 75.39 deg, d 1.261, I 19.7; 84.11 deg, d 1.151, I 15.0

Crystal structure
```
5
Lattice="5.6384 0.0000 0.0000 0.0000 5.6384 0.0000 0.0000 0.0000 5.6384" Properties=species:S:1:pos:R:3 pbc="T T T"
Rb 0.0000 0.0000 2.8192
Rb 0.0000 2.8192 0.0000
Rb 2.8192 0.0000 0.0000
Re 2.8192 2.8192 2.8192
F 0.0000 0.0000 0.0000
```

***

2.
Diffraction record for Rb3ReF7. The powder X-ray diffraction pattern is theoretical, not measured: it uses a cell relaxed with PBE and λ = 1.5418 Å (Cu Kα).

The 10 most intense peaks (2θ from 15° to 90°), in order of rising 2θ:
15.31 deg, d 5.787, I 18.0; 15.87 deg, d 5.585, I 39.0; 16.59 deg, d 5.342, I 20.0; 24.43 deg, d 3.643, I 47.0; 25.62 deg, d 3.477, I 100.0; 26.33 deg, d 3.385, I 49.7; 28.84 deg, d 3.096, I 41.7; 40.94 deg, d 2.204, I 19.4; 41.55 deg, d 2.173, I 49.2; 43.96 deg, d 2.060, I 27.7

Crystal structure
```
11
Lattice="4.4211 -4.3491 0.0000 4.4211 4.3491 0.0000 -3.9791 0.0000 5.7869" Properties=species:S:1:pos:R:3 pbc="T T T"
Rb 0.0000 0.0000 0.0000
Rb 2.4247 2.0417 2.8082
Rb 2.4247 -2.0417 2.8082
Re 4.6729 0.0000 0.0930
F 0.1017 1.3320 4.4865
F 2.7495 0.0000 0.7853
F 4.6409 1.7928 1.1403
F 0.1017 -1.3320 4.4865
F 2.3844 0.0000 4.6657
F 6.2741 0.0000 1.3713
F 4.6409 -1.7928 1.1403
```

***

3.
Diffraction record for RbReF6. The powder X-ray diffraction pattern is theoretical, not measured: it uses a cell relaxed with PBE and λ = 1.5418 Å (Cu Kα).

The 10 most intense peaks (2θ from 15° to 90°), in order of rising 2θ:
15.21 deg, d 5.825, I 13.8; 17.36 deg, d 5.107, I 56.3; 23.16 deg, d 3.840, I 100.0; 30.31 deg, d 2.949, I 20.1; 35.48 deg, d 2.530, I 10.2; 38.49 deg, d 2.339, I 21.9; 43.68 deg, d 2.072, I 28.3; 49.76 deg, d 1.832, I 23.0; 68.12 deg, d 1.376, I 10.1; 68.54 deg, d 1.369, I 10.8

Crystal structure
```
8
Lattice="5.8975 0.0000 0.0000 -2.9488 5.1074 0.0000 0.0000 0.0000 5.8254" Properties=species:S:1:pos:R:3 pbc="T T T"
Rb 0.0000 0.0000 0.0000
Re 2.9488 1.7025 2.9127
F 2.1698 0.3524 4.0346
F 1.3901 1.7028 1.7909
F 3.7278 0.3524 1.7909
F 2.1691 3.0521 4.0346
F 4.5074 1.7028 4.0346
F 3.7284 3.0521 1.7909
```